[1]
For GdTm2Al3Ni3, a DFT-relaxed cell (PBE, OQMD) gives the simulated X-ray powder pattern in this record (Cu Kα X-rays).
Intensities are scaled so that the largest is 100.

Peak list (10 most intense, 2θ from 10° to 80°, most intense first)
- 2θ 34.67, rel. 100.0
- 2θ 37.92, rel. 95.8
- 2θ 25.95, rel. 37.6
- 2θ 60.90, rel. 36.0
- 2θ 30.05, rel. 34.0
- 2θ 40.12, rel. 31.0
- 2θ 22.59, rel. 30.2
- 2θ 55.73, rel. 25.1
- 2θ 46.12, rel. 23.3
- 2θ 75.15, rel. 20.8

Structure:
```
9
Lattice="3.9364 0.0000 0.0000 0.0000 5.9446 3.4346 0.0000 -5.9446 3.4346" Properties=species:S:1:pos:R:3 pbc="T T T"
Gd 0.0000 0.0000 0.0000
Tm 0.0000 -2.4678 2.5825
Tm 0.0000 2.4678 2.5825
Al 1.9682 0.0000 2.3859
Al 1.9682 -1.4108 4.8046
Al 1.9682 1.4108 4.8046
Ni 0.0000 0.0000 3.9684
Ni 1.9682 -3.9221 4.0129
Ni 1.9682 3.9221 4.0129
```

---

[2]
For Gd2Al3ZnNi2, a DFT-relaxed cell (PBE, OQMD) gives the simulated X-ray powder pattern in this record (Cu Kα X-rays).
Intensities are scaled so that the largest is 100.

Peak list (10 most intense, 2θ from 10° to 80°, most intense first)
- 2θ 34.90, rel. 100.0
- 2θ 36.97, rel. 58.2
- 2θ 23.53, rel. 49.5
- 2θ 25.40, rel. 40.9
- 2θ 37.09, rel. 36.9
- 2θ 44.38, rel. 30.6
- 2θ 38.17, rel. 30.1
- 2θ 38.01, rel. 22.3
- 2θ 59.94, rel. 15.7
- 2θ 34.67, rel. 14.9

Structure:
```
16
Lattice="10.0366 0.0000 0.0000 0.0000 4.0823 0.0000 -0.0449 0.0000 7.0135" Properties=species:S:1:pos:R:3 pbc="T T T"
Gd 0.0000 0.0000 0.0000
Gd 1.1897 0.0000 3.4646
Gd 5.0183 2.0412 0.0000
Gd 6.2080 2.0412 3.4646
Al 2.1453 2.0412 5.6270
Al 3.9863 0.0000 2.1062
Al 4.0310 0.0000 4.8320
Al 7.1636 0.0000 5.6270
Al 9.0047 2.0412 2.1062
Al 9.0493 2.0412 4.8320
Zn 2.1268 2.0412 1.3341
Zn 7.1451 0.0000 1.3341
Ni 2.7729 0.0000 6.9261
Ni 3.4332 2.0412 3.4956
Ni 7.7912 2.0412 6.9261
Ni 8.4515 0.0000 3.4956
```

---

[3]
For Gd4Al4O11, a DFT-relaxed cell (PBE, OQMD) gives the simulated X-ray powder pattern in this record (Cu Kα X-rays).
Intensities are scaled so that the largest is 100.

Peak list (10 most intense, 2θ from 10° to 80°, most intense first)
- 2θ 34.19, rel. 100.0
- 2θ 23.89, rel. 57.6
- 2θ 24.10, rel. 27.2
- 2θ 42.40, rel. 26.3
- 2θ 34.35, rel. 23.5
- 2θ 61.42, rel. 21.5
- 2θ 41.88, rel. 21.2
- 2θ 33.73, rel. 19.3
- 2θ 55.55, rel. 18.5
- 2θ 49.35, rel. 14.6

Structure:
```
19
Lattice="5.2214 0.0000 0.0000 0.0000 7.3860 0.0000 -0.0129 0.0000 5.3147" Properties=species:S:1:pos:R:3 pbc="T T T"
Gd 0.0000 0.0000 0.0000
Gd 0.0751 3.6930 0.4594
Gd 2.6044 3.6930 3.1415
Gd 2.6966 0.0000 2.6481
Al 0.0428 1.8558 2.8903
Al 0.0428 5.5301 2.8903
Al 2.6551 1.8798 0.2391
Al 2.6551 5.5062 0.2391
O 0.4282 0.0000 2.9821
O 1.1469 2.1527 4.4206
O 1.1469 5.2333 4.4206
O 1.5451 2.1391 1.7667
O 1.5451 5.2469 1.7667
O 2.2647 0.0000 0.3179
O 3.7584 1.5698 4.0200
O 3.7584 5.8162 4.0200
O 4.1608 1.5612 1.3538
O 4.1608 5.8247 1.3538
O 4.8650 3.6930 2.8010
```

---

[4]
For Gd4Al4O11, a DFT-relaxed cell (PBE, OQMD) gives the simulated X-ray powder pattern in this record (Cu Kα X-rays).
Intensities are scaled so that the largest is 100.

Peak list (10 most intense, 2θ from 10° to 80°, most intense first)
- 2θ 23.92, rel. 100.0
- 2θ 34.20, rel. 82.2
- 2θ 34.08, rel. 76.1
- 2θ 42.31, rel. 42.2
- 2θ 34.34, rel. 40.7
- 2θ 24.03, rel. 39.7
- 2θ 41.95, rel. 36.7
- 2θ 33.91, rel. 36.2
- 2θ 61.26, rel. 35.8
- 2θ 60.96, rel. 24.6

Structure:
```
19
Lattice="5.2225 0.0000 0.0000 0.0355 5.2868 0.0000 0.0089 0.0081 7.4271" Properties=species:S:1:pos:R:3 pbc="T T T"
Gd 0.0000 0.0000 0.0000
Gd 0.1029 0.4448 3.7200
Gd 2.6233 3.0788 3.7571
Gd 2.7337 2.6496 0.0217
Al 0.0729 2.8710 1.8706
Al 0.0923 2.8520 5.5804
Al 2.6577 0.2394 5.5835
Al 2.6658 0.2270 1.8752
O 0.4743 2.9366 0.0074
O 1.2039 4.3843 2.1653
O 1.2084 4.3820 5.2843
O 1.5640 1.7476 2.1914
O 2.2572 0.3249 0.0079
O 3.0450 0.1668 3.7355
O 3.8135 4.0031 5.8851
O 3.8118 4.0046 1.5607
O 4.1582 1.3655 5.8714
O 4.1746 1.3499 1.5667
O 4.8971 2.7961 3.7261
```